# Ca5S3O12F
Theoretical powder diffractogram, Cu Ka. Input: a cell relaxed with PBE.

Crystal structure
```
data_Ca5S3O12F
_chemical_formula_sum 'Ca10 S6 O24 F2'
_cell_length_a 9.6016
_cell_length_b 9.6016
_cell_length_c 6.9999
_cell_angle_alpha 90.00
_cell_angle_beta 90.00
_cell_angle_gamma 120.00
_space_group_name_H-M_alt 'P 63/m'
_space_group_IT_number 176
_space_group_name_Hall '-P 6c'
loop_
_atom_site_label
_atom_site_type_symbol
_atom_site_fract_x
_atom_site_fract_y
_atom_site_fract_z
_atom_site_occupancy
Ca1 Ca 0.0192 0.2581 0.2500 1
Ca2 Ca 0.3333 0.6667 0.0063 1
S1 S 0.0056 0.3952 0.7500 1
O1 O 0.0564 0.7197 0.0780 1
O2 O 0.1391 0.5396 0.2500 1
O3 O 0.1986 0.4578 0.7500 1
F1 F 0.0000 0.0000 0.2500 1
```

Principal peaks in the range 2θ from 5° to 70°, by angle:
| 2theta | intensity | index |
| --- | --- | --- |
| 25.45 | 50 | 0 0 2 |
| 31.20 | 100 | 2 1 1 |
| 31.64 | 49 | 1 1 2 |
| 32.30 | 91 | 3 0 0 |
| 48.60 | 38 | 1 2 3 |
| 49.53 | 25 | 3 2 1 |
| 51.12 | 26 | 4 0 2 |
| 61.76 | 24 | 5 0 2 |